Diffraction record for CsGa2P5O16. The powder diffractogram is calculated, not measured: it uses the GGA-PBE geometry in Alexandria and λ = 1.5418 Å (Cu Kα).
Intensities are scaled so that the largest is 100.

Structural model:
abc: 7.5609 9.3847 10.3589
angles: 90.00 112.08 90.00
Fractional positions:
Cs1 0.0000 0.1966 0.0000
Cs2 0.0000 0.8034 0.5000
Ga1 0.3803 0.1397 0.7889
Ga2 0.3803 0.8603 0.2889
Ga3 0.9378 0.3677 0.3958
Ga4 0.9378 0.6323 0.8958
P1 0.1280 0.4158 0.7300
P2 0.1280 0.5842 0.2300
P3 0.2852 0.1252 0.4568
P4 0.2852 0.8748 0.9568
P5 0.5254 0.4556 0.7690
P6 0.5254 0.5444 0.2690
P7 0.5787 0.2965 0.1309
P8 0.5787 0.7035 0.6309
P9 0.6198 0.1392 0.3844
P10 0.6198 0.8608 0.8844
O1 0.0169 0.4696 0.8150
O2 0.0169 0.5304 0.3150
O3 0.0486 0.4585 0.5768
O4 0.0486 0.5415 0.0768
O5 0.1585 0.2555 0.7523
O6 0.1585 0.7445 0.2523
O7 0.1594 0.2555 0.4073
O8 0.1594 0.7445 0.9073
O9 0.2357 0.0084 0.3454
O10 0.2357 0.9916 0.8454
O11 0.3018 0.0661 0.5983
O12 0.3018 0.9339 0.0983
O13 0.3373 0.4947 0.7973
O14 0.3373 0.5053 0.2973
O15 0.4847 0.2321 0.9907
O16 0.4847 0.7679 0.4907
O17 0.4958 0.4562 0.1267
O18 0.4958 0.5438 0.6267
O19 0.5001 0.2173 0.2379
O20 0.5001 0.7827 0.7379
O21 0.5014 0.1800 0.4763
O22 0.5014 0.8200 0.9763
O23 0.5270 0.2980 0.7400
O24 0.5270 0.7020 0.2400
O25 0.6135 0.0205 0.8574
O26 0.6135 0.9795 0.3574
O27 0.6960 0.4821 0.3836
O28 0.6960 0.5179 0.8836
O29 0.7945 0.2975 0.1959
O30 0.7945 0.7025 0.6959
O31 0.8186 0.1985 0.4514
O32 0.8186 0.8015 0.9514

The 6 most intense peaks (5 to 70 degrees two-theta), by angle:
- 15.76°, rel. 70
- 18.05°, rel. 87
- 20.59°, rel. 74
- 22.76°, rel. 84
- 25.41°, rel. 97
- 30.36°, rel. 100

---

Diffraction record for Cs2GaPdO4. The powder diffractogram is calculated, not measured: it uses the GGA-PBE geometry in Alexandria and λ = 1.5418 Å (Cu Kα).
Intensities are scaled so that the largest is 100.

Structural model:
abc: 12.5047 10.9817 7.2240
angles: 84.06 60.87 35.07
Fractional positions:
Cs1 0.0526 0.0526 0.6974
Cs2 0.3026 0.3026 0.9474
Cs3 0.6974 0.6974 0.0526
Cs4 0.9474 0.9474 0.3026
Ga1 0.1250 0.1250 0.1250
Ga2 0.8750 0.8750 0.8750
Pd1 0.3750 0.3750 0.3750
Pd2 0.6250 0.6250 0.6250
O1 0.0080 0.2924 0.4257
O2 0.2260 0.5743 0.7076
O3 0.2924 0.0080 0.7740
O4 0.4257 0.7740 0.0080
O5 0.5743 0.2260 0.9920
O6 0.7076 0.9920 0.2260
O7 0.7740 0.4257 0.2924
O8 0.9920 0.7076 0.5743

The 6 most intense peaks (5 to 70 degrees two-theta), by angle:
- 21.05°, rel. 80
- 26.89°, rel. 48
- 28.46°, rel. 55
- 28.62°, rel. 100
- 34.09°, rel. 57
- 49.32°, rel. 45

---

Diffraction record for CsGaS2O8. The powder diffractogram is calculated, not measured: it uses the GGA-PBE geometry in Alexandria and λ = 1.5418 Å (Cu Kα).
Intensities are scaled so that the largest is 100.

Structural model:
abc: 5.0419 5.0419 8.9207
angles: 90.00 90.00 120.00
Fractional positions:
Cs1 0.0000 0.0000 0.0000
Ga1 0.0000 0.0000 0.5000
S1 0.3333 0.6667 0.6929
S2 0.6667 0.3333 0.3071
O1 0.1223 0.3496 0.6383
O2 0.2273 0.8777 0.6383
O3 0.3333 0.6667 0.8567
O4 0.3496 0.1223 0.3617
O5 0.6504 0.7727 0.6383
O6 0.6667 0.3333 0.1433
O7 0.7727 0.6504 0.3617
O8 0.8777 0.2273 0.3617

The 6 most intense peaks (5 to 70 degrees two-theta), by angle:
- 20.34°, rel. 53
- 22.67°, rel. 45
- 28.61°, rel. 100
- 35.61°, rel. 37
- 46.30°, rel. 28
- 59.75°, rel. 23

---

Diffraction record for CsGaSe2O8. The powder diffractogram is calculated, not measured: it uses the GGA-PBE geometry in Alexandria and λ = 1.5418 Å (Cu Kα).
Intensities are scaled so that the largest is 100.

Structural model:
abc: 5.0742 5.0742 9.2719
angles: 90.00 90.00 120.00
Fractional positions:
Cs1 0.0000 0.0000 0.0000
Ga1 0.0000 0.0000 0.5000
Se1 0.3333 0.6667 0.6858
Se2 0.6667 0.3333 0.3142
O1 0.0389 0.3324 0.6292
O2 0.2935 0.9611 0.6292
O3 0.3324 0.2935 0.3708
O4 0.3333 0.6667 0.8634
O5 0.6667 0.3333 0.1366
O6 0.6676 0.7065 0.6292
O7 0.7065 0.0389 0.3708
O8 0.9611 0.6676 0.3708

The 6 most intense peaks (5 to 70 degrees two-theta), by angle:
- 22.39°, rel. 72
- 27.98°, rel. 100
- 35.38°, rel. 43
- 44.17°, rel. 24
- 45.69°, rel. 24
- 59.08°, rel. 23

---

Question: What is the formula in the fourth record?
Answer: CsGaSe2O8

---

Copy entry 3 word for word.
Diffraction record for CsGaS2O8. The powder diffractogram is calculated, not measured: it uses the GGA-PBE geometry in Alexandria and λ = 1.5418 Å (Cu Kα).
Intensities are scaled so that the largest is 100.

Structural model:
abc: 5.0419 5.0419 8.9207
angles: 90.00 90.00 120.00
Fractional positions:
Cs1 0.0000 0.0000 0.0000
Ga1 0.0000 0.0000 0.5000
S1 0.3333 0.6667 0.6929
S2 0.6667 0.3333 0.3071
O1 0.1223 0.3496 0.6383
O2 0.2273 0.8777 0.6383
O3 0.3333 0.6667 0.8567
O4 0.3496 0.1223 0.3617
O5 0.6504 0.7727 0.6383
O6 0.6667 0.3333 0.1433
O7 0.7727 0.6504 0.3617
O8 0.8777 0.2273 0.3617

The 6 most intense peaks (5 to 70 degrees two-theta), by angle:
- 20.34°, rel. 53
- 22.67°, rel. 45
- 28.61°, rel. 100
- 35.61°, rel. 37
- 46.30°, rel. 28
- 59.75°, rel. 23

---

Question: Number 3 is which compound?
Answer: CsGaS2O8